Entry 1:
For BaIrO, a cell relaxed with GGA-PBE gives the theoretical powder diffractogram in this record (Cu Kα).
No peak broadening, texture or thermal motion is included.

Largest 10 diffraction maxima, in order of rising 2θ, 2θ = 5–70°:
7.76°, rel. 785; 15.55°, rel. 396; 24.82°, rel. 248; 26.40°, rel. 201; 29.45°, rel. 1000; 33.44°, rel. 239; 35.65°, rel. 269; 38.96°, rel. 231; 42.66°, rel. 198; 48.53°, rel. 213

Atomic structure:
```
12
Lattice="11.400 0.000 0.000 0.000 3.376 3.779 0.000 -3.376 3.779" Properties=species:S:1:pos:R:3 pbc="T T T"
Ba 1.830 0.000 0.000
Ba 3.710 0.000 3.347
Ba 7.690 0.000 3.347
Ba 9.570 0.000 0.000
Ir 0.000 0.000 2.916
Ir 5.700 -2.140 4.707
Ir 5.700 0.000 6.010
Ir 5.700 2.140 4.707
O 0.000 -1.866 2.900
O 0.000 1.866 2.900
O 3.629 0.000 5.913
O 7.771 0.000 5.913
```


Entry 2:
For Ba4Ir3O10, a cell relaxed with GGA-PBE gives the theoretical powder diffractogram in this record (Cu Kα).
No peak broadening, texture or thermal motion is included.

Largest 10 diffraction maxima, in order of rising 2θ, 2θ = 5–70°:
14.60°, rel. 472; 17.95°, rel. 328; 26.67°, rel. 435; 28.10°, rel. 884; 28.46°, rel. 1000; 30.73°, rel. 972; 31.91°, rel. 527; 32.23°, rel. 400; 40.31°, rel. 322; 41.13°, rel. 428

Atomic structure:
```
34
Lattice="7.361 0.000 0.000 0.000 13.370 0.000 -2.212 0.000 5.384" Properties=species:S:1:pos:R:3 pbc="T T T"
Ba -0.469 1.517 1.402
Ba -1.575 5.168 4.094
Ba 0.913 1.833 5.186
Ba 2.019 4.852 2.494
Ba 3.130 8.517 2.890
Ba 4.236 11.537 0.198
Ba 6.724 8.201 1.290
Ba 5.618 11.853 3.982
Ir -0.009 8.704 4.677
Ir 1.097 11.351 1.985
Ir 2.574 0.000 2.692
Ir 3.680 6.685 0.000
Ir 4.052 2.019 3.399
Ir 5.158 4.666 0.707
O -1.482 2.063 4.150
O -0.376 4.622 1.459
O 0.740 9.697 3.053
O 1.846 10.357 0.361
O 0.545 7.020 3.577
O 1.651 13.034 0.885
O 1.837 7.254 0.724
O 0.731 12.800 3.416
O 2.080 2.004 2.549
O 0.974 4.681 5.240
O 4.175 8.689 0.143
O 3.069 11.366 2.835
O 4.418 0.570 1.968
O 3.312 6.115 4.660
O 3.498 0.336 4.499
O 4.604 6.349 1.807
O 3.303 3.012 5.023
O 4.409 3.673 2.331
O 5.525 8.748 3.925
O 6.631 11.307 1.233
```